Diffraction record for NpBeZn2N4. The powder XRD pattern is calculated, not measured: it uses a crystal structure in Alexandria, relaxed with PBE and Cu Ka.

Principal peaks in the range 2θ = 10–90°, most intense first:
- 35.42 deg, I 100, (0 2 0)
- 21.32 deg, I 59, (1 1 0)
- 21.90 deg, I 57, (1 0 1)
- 36.81 deg, I 28, (0 0 2)
- 41.98 deg, I 22, (1 2 1)
- 42.93 deg, I 22, (1 1 2)
- 51.96 deg, I 16, (0 2 2)
- 65.41 deg, I 14, (2 1 3)
- 41.15 deg, I 13, (3 1 0)
- 41.48 deg, I 12, (3 0 1)

Cell and atoms:
Lattice parameters (Å, degrees): 7.2967 5.0774 4.8838 90.00 90.00 90.00
Fractional coordinates of all 16 atoms:
Np (0.0000, 0.2282, 0.0000)
Np (0.5000, 0.7718, 0.5000)
Be (0.0000, 0.8389, 0.5686)
Be (0.5000, 0.1611, 0.0686)
Zn (0.2485, 0.6983, 0.0333)
Zn (0.2515, 0.3017, 0.5333)
Zn (0.7485, 0.3017, 0.5333)
Zn (0.7515, 0.6983, 0.0333)
N (0.0000, 0.1698, 0.4844)
N (0.0000, 0.7986, 0.9242)
N (0.2297, 0.7202, 0.4736)
N (0.2703, 0.2798, 0.9736)
N (0.5000, 0.2014, 0.4242)
N (0.5000, 0.8302, 0.9844)
N (0.7297, 0.2798, 0.9736)
N (0.7703, 0.7202, 0.4736)